This entry pairs a crystal structure of Nd6Fe13Ag with its computed X-ray powder pattern. Radiation: Cu Ka. Structure: the GGA-PBE geometry in the Materials Project.
No peak broadening, texture or thermal motion is included.

Cell and atoms:
Cell lengths 8.073, 8.073, 23.086 Å; angles 90.00, 90.00, 90.00 degrees
Space group I4/mcm (No. 140)
One atom of each set of equivalent atoms:
Nd 0.000 0.000 0.106 x8
Nd 0.162 0.338 0.186 x16
Fe 0.000 0.500 0.000 x4
Fe 0.067 0.210 0.500 x16
Fe 0.114 0.386 0.404 x16
Fe 0.179 0.321 0.059 x16
Ag 0.000 0.000 0.250 x4

Peak list (12 most intense, 5° ≤ 2θ ≤ 70°, low angle first)
d/Å, Rel. int.
3.268, 79
2.854, 30
2.844, 79
2.785, 31
2.575, 33
2.553, 100
2.348, 62
2.335, 28
2.091, 47
1.951, 39
1.589, 32
1.385, 38